# 1
The following is a computed powder diffractogram of KMo2O7. It was derived from a structure optimized by DFT (PBE+U), using Cu Kα X-rays.

Largest 10 diffraction maxima, by angle, 10° ≤ 2θ ≤ 80°:
2θ = 16.6°, I 74.1
2θ = 23.0°, I 63.6
2θ = 28.5°, I 79.5
2θ = 29.1°, I 100.0
2θ = 41.2°, I 26.5
2θ = 45.1°, I 34.4
2θ = 46.9°, I 24.1
2θ = 51.2°, I 35.1
2θ = 51.6°, I 18.9
2θ = 56.2°, I 29.1

Atomic structure:
Cell: 6.127 10.652 3.874 Å, 90.00 90.00 90.00°
Space group Cmmm (No. 65)
Unique sites:
K1 0.000 0.000 0.000 (multiplicity 2)
Mo1 0.000 0.299 0.500 (multiplicity 4)
O1 0.000 0.297 0.000 (multiplicity 4)
O2 0.000 0.500 0.500 (multiplicity 2)
O3 0.196 0.144 0.500 (multiplicity 8)


# 2
The following is a computed powder diffractogram of KMo4O6. It was derived from a structure optimized by DFT (PBE+U), using Cu Kα X-rays.

Largest 10 diffraction maxima, by angle, 10° ≤ 2θ ≤ 80°:
2θ = 12.4°, I 87.4
2θ = 27.9°, I 86.2
2θ = 33.8°, I 100.0
2θ = 35.5°, I 22.1
2θ = 37.7°, I 15.6
2θ = 42.4°, I 47.3
2θ = 51.1°, I 17.1
2θ = 56.5°, I 34.2
2θ = 62.6°, I 18.3
2θ = 63.9°, I 14.5

Atomic structure:
Cell: 10.120 10.120 3.274 Å, 90.00 90.00 90.00°
Space group P4/mbm (No. 127)
Unique sites:
K1 0.000 0.000 0.000 (multiplicity 2)
Mo1 0.118 0.382 0.500 (multiplicity 4)
Mo2 0.152 0.652 0.000 (multiplicity 4)
O1 0.048 0.743 0.500 (multiplicity 8)
O2 0.204 0.296 0.000 (multiplicity 4)


# 3
The following is a computed powder diffractogram of KMo2O6. It was derived from a structure optimized by DFT (PBE+U), using Cu Kα X-rays.

Largest 10 diffraction maxima, by angle, 10° ≤ 2θ ≤ 80°:
2θ = 11.1°, I 18.1
2θ = 13.7°, I 100.0
2θ = 18.2°, I 19.2
2θ = 21.2°, I 34.3
2θ = 24.5°, I 24.2
2θ = 25.5°, I 19.4
2θ = 27.7°, I 21.3
2θ = 29.8°, I 21.4
2θ = 31.0°, I 17.9
2θ = 35.2°, I 22.9

Atomic structure:
Cell: 13.336 10.115 5.644 Å, 90.00 104.98 90.00°
Space group C2/c (No. 15)
Unique sites:
K1 0.000 0.159 0.250 (multiplicity 4)
Mo1 0.239 0.108 0.890 (multiplicity 8)
O1 0.110 0.088 0.726 (multiplicity 8)
O2 0.193 0.233 0.144 (multiplicity 8)
O3 0.203 0.493 0.342 (multiplicity 8)


# 4
The following is a computed powder diffractogram of KMo5O13. It was derived from a structure optimized by DFT (PBE+U), using Cu Kα X-rays.

Largest 10 diffraction maxima, by angle, 10° ≤ 2θ ≤ 80°:
2θ = 10.4°, I 98.8
2θ = 22.1°, I 26.9
2θ = 25.0°, I 48.7
2θ = 26.2°, I 100.0
2θ = 28.7°, I 32.5
2θ = 31.0°, I 65.5
2θ = 32.6°, I 26.1
2θ = 33.9°, I 28.6
2θ = 36.5°, I 23.9
2θ = 51.3°, I 44.5

Atomic structure:
Cell: 6.815 9.158 16.951 Å, 90.00 90.00 90.00°
Space group Cmcm (No. 63)
Unique sites:
K1 0.000 0.141 0.250 (multiplicity 4)
Mo1 0.000 0.000 0.000 (multiplicity 4)
Mo2 0.000 0.227 0.638 (multiplicity 8)
Mo3 0.000 0.382 0.072 (multiplicity 8)
O1 0.000 0.007 0.611 (multiplicity 8)
O2 0.000 0.183 0.750 (multiplicity 4)
O3 0.000 0.224 0.510 (multiplicity 8)
O4 0.000 0.426 0.638 (multiplicity 8)
O5 0.192 0.500 0.000 (multiplicity 8)
O6 0.209 0.301 0.130 (multiplicity 16)


# 5
The following is a computed powder diffractogram of KMo2O4. It was derived from a structure optimized by DFT (PBE+U), using Cu Kα X-rays.

Largest 10 diffraction maxima, by angle, 10° ≤ 2θ ≤ 80°:
2θ = 16.0°, I 93.9
2θ = 16.4°, I 81.2
2θ = 30.8°, I 70.0
2θ = 31.5°, I 100.0
2θ = 31.7°, I 36.8
2θ = 32.2°, I 44.2
2θ = 33.2°, I 36.3
2θ = 37.7°, I 60.8
2θ = 49.2°, I 35.7
2θ = 55.0°, I 65.9

Atomic structure:
Cell: 6.617 6.900 9.351 Å, 90.00 90.00 90.00°
Space group Imma (No. 74)
Unique sites:
K1 0.000 0.250 0.130 (multiplicity 4)
Mo1 0.000 0.000 0.500 (multiplicity 4)
Mo2 0.250 0.250 0.750 (multiplicity 4)
O1 0.000 0.058 0.733 (multiplicity 8)
O2 0.203 0.250 0.531 (multiplicity 8)


# 6
The following is a computed powder diffractogram of KMo2P3O13. It was derived from a structure optimized by DFT (PBE+U), using Cu Kα X-rays.

Largest 10 diffraction maxima, by angle, 10° ≤ 2θ ≤ 80°:
2θ = 11.9°, I 44.2
2θ = 17.3°, I 100.0
2θ = 20.4°, I 29.5
2θ = 21.0°, I 31.6
2θ = 26.1°, I 33.3
2θ = 27.2°, I 23.2
2θ = 27.4°, I 31.1
2θ = 29.7°, I 20.2
2θ = 31.5°, I 19.7
2θ = 32.2°, I 27.1

Atomic structure:
Cell: 10.908 14.411 9.061 Å, 90.00 126.21 90.00°
Space group C2/c (No. 15)
Unique sites:
K1 0.250 0.250 0.000 (multiplicity 4)
Mo1 0.243 0.084 0.666 (multiplicity 8)
P1 0.000 0.012 0.750 (multiplicity 4)
P2 0.054 0.294 0.435 (multiplicity 8)
O1 0.000 0.238 0.250 (multiplicity 4)
O2 0.055 0.049 0.417 (multiplicity 8)
O3 0.091 0.340 0.104 (multiplicity 8)
O4 0.118 0.224 0.589 (multiplicity 8)
O5 0.131 0.076 0.787 (multiplicity 8)
O6 0.169 0.367 0.466 (multiplicity 8)
O7 0.171 0.478 0.770 (multiplicity 8)